Record 1
Simulated PXRD pattern
Compound: LiY2AlPt6
Radiation: Cu Ka
Structure: the PBE geometry in Alexandria

Top 8 peaks for 2θ = 10–80°, in order of rising 2θ:
(hkl)	d (Å)	2θ (°)	I (rel.)
0 0 1	7.956	11.12	38.8
2 0 0	4.477	19.83	22.1
0 0 2	3.978	22.35	85.9
2 2 0	2.367	38.01	100.0
3 1 1	2.283	39.46	23.3
4 0 0	2.239	40.29	80.5
2 2 2	1.877	48.50	30.5
0 4 0	1.394	67.14	25.2

Cell and atoms:
Unit cell a=9.660 b=5.577 c=8.586 alpha=90.00 beta=112.10 gamma=90.00
Space group C2/m (No. 12)
Inequivalent atoms, fractional coordinates:
Li  0.000  0.000  0.000
Y  0.201  0.000  0.603
Al  0.000  0.500  0.500
Pt  0.007  0.246  0.270
Pt  0.246  0.500  0.730

=====

Record 2
Simulated PXRD pattern
Compound: LuMgMnS4
Radiation: Cu Ka
Structure: the PBE geometry in Alexandria

Top 8 peaks for 2θ = 10–80°, in order of rising 2θ:
(hkl)	d (Å)	2θ (°)	I (rel.)
1 1 0	6.154	14.39	100.0
1 1 -2	3.336	26.72	31.9
3 1 -2	3.157	28.27	63.7
0 0 2	2.807	31.88	30.2
0 4 0	2.605	34.42	23.7
4 0 -2	2.597	34.54	23.4
1 1 2	2.149	42.04	22.4
4 0 0	1.908	47.66	47.5

Cell and atoms:
Unit cell a=10.386 b=10.421 c=7.648 alpha=90.00 beta=132.76 gamma=90.00
Space group C2/c (No. 15)
Inequivalent atoms, fractional coordinates:
Lu  0.000  0.000  0.000
Mg  0.000  0.382  0.250
Mn  0.250  0.250  0.000
S  0.016  0.253  0.991
S  0.241  0.020  0.975

=====

Record 3
Simulated PXRD pattern
Compound: AlAgAu4
Radiation: Cu Ka
Structure: the PBE geometry in Alexandria

Top 8 peaks for 2θ = 10–80°, in order of rising 2θ:
(hkl)	d (Å)	2θ (°)	I (rel.)
0 8 0	3.073	29.06	15.0
1 1 1	2.983	29.96	43.1
1 5 1	2.564	35.00	26.9
1 7 1	2.283	39.47	100.0
2 0 0	2.125	42.55	52.9
2 0 2	1.502	61.74	17.7
1 17 1	1.303	72.55	13.3
3 7 1	1.255	75.79	30.1

Cell and atoms:
Unit cell a=4.249 b=24.583 c=4.250 alpha=90.00 beta=90.00 gamma=90.00
Space group Cmmm (No. 65)
Inequivalent atoms, fractional coordinates:
Al  0.000  0.065  0.000
Ag  0.000  0.291  0.500
Au  0.000  0.000  0.500
Au  0.000  0.126  0.500
Au  0.000  0.209  0.000
Au  0.000  0.374  0.000
Au  0.000  0.500  0.000

=====

Record 4
Simulated PXRD pattern
Compound: Tb6Ge3S14
Radiation: Cu Ka
Structure: the PBE geometry in Alexandria

Top 8 peaks for 2θ = 10–80°, in order of rising 2θ:
(hkl)	d (Å)	2θ (°)	I (rel.)
2 0 0	4.316	20.58	26.4
2 -1 1	3.774	23.58	30.1
0 2 1	3.458	25.76	100.0
2 2 0	2.492	36.04	39.2
2 0 2	2.401	37.46	35.2
1 3 0	2.394	37.57	30.5
3 1 1	2.212	40.80	30.1
1 2 2	2.162	41.78	29.0

Cell and atoms:
Unit cell a=9.9677 b=9.9677 c=5.7776 alpha=90.00 beta=90.00 gamma=120.00
Space group P3 (No. 143)
Inequivalent atoms, fractional coordinates:
Tb  0.0263  0.5616  0.0000
Tb  0.3083  0.1053  0.5090
Ge  0.0000  0.0000  0.9273
Ge  0.3333  0.6667  0.4188
Ge  0.6667  0.3333  0.2808
S  0.0000  0.0000  0.3078
S  0.0841  0.8507  0.7636
S  0.1837  0.4331  0.2571
S  0.3333  0.6667  0.8001
S  0.4091  0.1734  0.0418
S  0.5025  0.4297  0.5352

=====

Record 5
Simulated PXRD pattern
Compound: YHo2Ga6
Radiation: Cu Ka
Structure: the PBE geometry in Alexandria

Top 8 peaks for 2θ = 10–80°, in order of rising 2θ:
(hkl)	d (Å)	2θ (°)	I (rel.)
0 1 1	6.168	14.36	33.1
1 1 0	3.656	24.35	34.5
1 2 1	2.650	33.83	100.0
1 1 4	2.462	36.50	69.6
1 0 5	2.264	39.82	35.9
2 0 0	2.148	42.07	37.7
0 3 3	2.056	44.04	43.8
2 3 3	1.485	62.53	30.2

Cell and atoms:
Unit cell a=4.296 b=6.960 c=13.320 alpha=90.00 beta=90.00 gamma=90.00
Space group Immm (No. 71)
Inequivalent atoms, fractional coordinates:
Y  0.000  0.000  0.000
Ho  0.000  0.500  0.125
Ga  0.000  0.190  0.500
Ga  0.000  0.307  0.315